(1)
Calculated powder XRD pattern
Compound: ErIn2Hg2
Radiation: Cu Kα
Structure: DFT lattice parameters and positions (PBE)
Peak positions follow from Bragg's law for the DFT cell and can differ from measured ones.

Principal peaks in the range 2θ = 10–90°, sorted by position:
2θ/deg	d/Å	I (rel.)
21.4	4.153	18
29.6	3.015	70
35.3	2.545	100
35.4	2.536	55
41.8	2.162	16
46.7	1.945	20
50.8	1.796	20
59.9	1.545	19
63.3	1.468	39
71.2	1.324	24

a = 5.0893 Å, b = 5.0893 Å, c = 12.4035 Å
α = 90.00°, β = 90.00°, γ = 120.00°
Space group P6_3/mmc (No. 194)
Inequivalent atoms, fractional coordinates:
Er1 0.0000 0.0000 0.2500 x2
In1 0.0000 0.0000 0.0000 x2
In2 0.3333 0.6667 0.2500 x2
Hg1 0.3333 0.6667 0.6179 x4

(2)
Calculated powder XRD pattern
Compound: SmMg3Pd2
Radiation: Cu Kα
Structure: DFT lattice parameters and positions (PBE)
Peak positions follow from Bragg's law for the DFT cell and can differ from measured ones.

Principal peaks in the range 2θ = 10–90°, sorted by position:
2θ/deg	d/Å	I (rel.)
11.5	7.699	100
12.0	7.387	76
20.0	4.450	58
28.8	3.103	87
30.4	2.936	86
34.6	2.596	84
34.7	2.582	52
35.2	2.546	94
40.0	2.253	49
44.0	2.057	54

a = 16.405 Å, b = 4.114 Å, c = 8.910 Å
α = 90.00°, β = 120.22°, γ = 90.00°
Space group C2/m (No. 12)
Inequivalent atoms, fractional coordinates:
Sm1 0.129 0.000 0.151 x4
Mg1 0.026 0.000 0.683 x4
Mg2 0.152 0.500 0.488 x4
Mg3 0.178 0.500 0.891 x4
Pd1 0.002 0.500 0.847 x4
Pd2 0.210 0.000 0.726 x4

(3)
Calculated powder XRD pattern
Compound: CePm12Ho7
Radiation: Cu Kα
Structure: DFT lattice parameters and positions (PBE)
Peak positions follow from Bragg's law for the DFT cell and can differ from measured ones.

Principal peaks in the range 2θ = 10–90°, sorted by position:
2θ/deg	d/Å	I (rel.)
27.3	3.263	37
30.1	2.969	100
31.0	2.889	42
32.8	2.729	45
33.0	2.715	41
34.9	2.573	25
39.6	2.277	36
40.0	2.253	27
46.4	1.958	27
56.3	1.635	26

a = 19.5778 Å, b = 19.5778 Å, c = 6.1465 Å
α = 90.00°, β = 90.00°, γ = 120.00°
Space group R-3m (No. 166, hexagonal axes)
Inequivalent atoms, fractional coordinates:
Ce1 0.0000 0.0000 0.0000 x3
Pm1 0.0000 0.4129 0.5000 x18
Pm2 0.0966 0.5483 0.9726 x18
Ho1 0.0000 0.0000 0.5000 x3
Ho2 0.0806 0.1611 0.7991 x18

(4)
Calculated powder XRD pattern
Compound: Nd8Co2Pb
Radiation: Cu Kα
Structure: DFT lattice parameters and positions (PBE)
Peak positions follow from Bragg's law for the DFT cell and can differ from measured ones.

Principal peaks in the range 2θ = 10–90°, sorted by position:
2θ/deg	d/Å	I (rel.)
26.0	3.425	31
29.7	3.012	73
30.7	2.908	100
32.7	2.735	62
33.1	2.703	48
33.4	2.682	88
37.2	2.415	29
51.5	1.774	31
55.2	1.664	25
61.9	1.499	24

a = 8.744 Å, b = 13.827 Å, c = 5.532 Å
α = 90.00°, β = 103.47°, γ = 90.00°
Space group C2/m (No. 12)
Inequivalent atoms, fractional coordinates:
Nd1 0.000 0.250 0.000 x4
Nd2 0.102 0.000 0.799 x4
Nd3 0.203 0.372 0.562 x8
Co1 0.000 0.205 0.500 x4
Pb1 0.000 0.500 0.000 x2

(5)
Calculated powder XRD pattern
Compound: Ba4In2O7
Radiation: Cu Kα
Structure: DFT lattice parameters and positions (PBE)
Peak positions follow from Bragg's law for the DFT cell and can differ from measured ones.

Principal peaks in the range 2θ = 10–90°, sorted by position:
2θ/deg	d/Å	I (rel.)
12.3	7.214	26
21.1	4.215	11
26.0	3.428	13
29.7	3.013	70
30.2	2.962	100
39.0	2.312	15
40.4	2.234	11
42.4	2.130	36
52.9	1.730	41
53.9	1.701	12

a = 6.018 Å, b = 28.854 Å, c = 6.033 Å
α = 90.00°, β = 90.00°, γ = 90.00°
Space group Cmcm (No. 63)
Inequivalent atoms, fractional coordinates:
Ba1 0.000 0.047 0.250 x4
Ba2 0.000 0.181 0.250 x4
Ba3 0.000 0.318 0.250 x4
Ba4 0.000 0.448 0.250 x4
In1 0.000 0.122 0.750 x4
In2 0.000 0.392 0.750 x4
O1 0.000 0.045 0.750 x4
O2 0.000 0.200 0.750 x4
O3 0.000 0.464 0.750 x4
O4 0.242 0.374 0.508 x16

(6)
Calculated powder XRD pattern
Compound: Y2Tm2Cu3
Radiation: Cu Kα
Structure: DFT lattice parameters and positions (PBE)
Peak positions follow from Bragg's law for the DFT cell and can differ from measured ones.

Principal peaks in the range 2θ = 10–90°, sorted by position:
2θ/deg	d/Å	I (rel.)
11.1	7.996	38
26.0	3.429	46
36.9	2.436	100
37.3	2.414	98
39.0	2.311	12
53.4	1.715	34
66.2	1.411	17
66.9	1.398	33
67.2	1.393	17
78.5	1.218	10

a = 4.8270 Å, b = 4.8270 Å, c = 23.9868 Å
α = 90.00°, β = 90.00°, γ = 120.00°
Space group R-3m (No. 166, hexagonal axes)
Inequivalent atoms, fractional coordinates:
Y1 0.0000 0.0000 0.1246 x6
Tm1 0.0000 0.0000 0.3743 x6
Cu1 0.0000 0.0000 0.0000 x3
Cu2 0.0000 0.0000 0.2526 x6

(7)
Calculated powder XRD pattern
Compound: TbHo2TmAs4
Radiation: Cu Kα
Structure: DFT lattice parameters and positions (PBE)
Peak positions follow from Bragg's law for the DFT cell and can differ from measured ones.

Principal peaks in the range 2θ = 10–90°, sorted by position:
2θ/deg	d/Å	I (rel.)
26.6	3.348	24
30.8	2.900	100
44.2	2.050	75
52.3	1.749	12
54.8	1.674	26
64.2	1.450	12
70.8	1.330	5
73.0	1.297	34
81.3	1.184	25
87.4	1.116	4

a = 7.101 Å, b = 4.102 Å, c = 7.102 Å
α = 90.00°, β = 109.47°, γ = 90.00°
Space group P2/m (No. 10)
Inequivalent atoms, fractional coordinates:
Tb1 0.000 0.000 0.000 x1
Ho1 0.000 0.500 0.500 x1
Ho2 0.500 0.000 0.500 x1
Tm1 0.500 0.500 0.000 x1
As1 0.252 0.000 0.751 x2
As2 0.252 0.500 0.251 x2

(8)
Calculated powder XRD pattern
Compound: Tb2GaTcC
Radiation: Cu Kα
Structure: DFT lattice parameters and positions (PBE)
Peak positions follow from Bragg's law for the DFT cell and can differ from measured ones.

Principal peaks in the range 2θ = 10–90°, sorted by position:
2θ/deg	d/Å	I (rel.)
25.4	3.502	7
34.1	2.629	100
36.3	2.476	46
45.6	1.990	12
52.2	1.751	16
59.6	1.551	21
63.9	1.457	32
71.8	1.315	12
76.8	1.241	9
88.2	1.107	7

a = 4.953 Å, b = 4.953 Å, c = 3.981 Å
α = 90.00°, β = 90.00°, γ = 90.00°
Space group P4/mmm (No. 123)
Inequivalent atoms, fractional coordinates:
Tb1 0.000 0.500 0.000 x2
Ga1 0.000 0.000 0.500 x1
Tc1 0.500 0.500 0.500 x1
C1 0.500 0.500 0.000 x1

(9)
Calculated powder XRD pattern
Compound: K3Si2H8
Radiation: Cu Kα
Structure: DFT lattice parameters and positions (PBE)
Peak positions follow from Bragg's law for the DFT cell and can differ from measured ones.

Principal peaks in the range 2θ = 10–90°, sorted by position:
2θ/deg	d/Å	I (rel.)
26.5	3.365	100
35.6	2.520	46
39.9	2.260	31
44.9	2.017	22
54.5	1.683	11
58.6	1.575	18
64.0	1.455	7
64.6	1.444	12
66.9	1.399	12
81.6	1.180	7

a = 5.0400 Å, b = 5.0400 Å, c = 26.4211 Å
α = 90.00°, β = 90.00°, γ = 120.00°
Space group R-3m (No. 166, hexagonal axes)
Inequivalent atoms, fractional coordinates:
K1 0.0000 0.0000 0.0000 x3
K2 0.0000 0.0000 0.2037 x6
Si1 0.0000 0.0000 0.4052 x6
H1 0.0000 0.0000 0.2985 x6
H2 0.0370 0.5185 0.2283 x18

(10)
Calculated powder XRD pattern
Compound: Li12MgAu6
Radiation: Cu Kα
Structure: DFT lattice parameters and positions (PBE)
Peak positions follow from Bragg's law for the DFT cell and can differ from measured ones.

Principal peaks in the range 2θ = 10–90°, sorted by position:
2θ/deg	d/Å	I (rel.)
18.1	4.891	37
18.3	4.856	67
22.2	4.008	59
25.9	3.446	80
28.9	3.091	69
29.1	3.073	48
39.3	2.290	100
41.3	2.184	31
41.5	2.175	52
49.5	1.843	36

a = 9.7121 Å, b = 9.7121 Å, c = 12.0255 Å
α = 90.00°, β = 90.00°, γ = 120.00°
Space group R-3 (No. 148, hexagonal axes)
Inequivalent atoms, fractional coordinates:
Li1 0.0335 0.8340 0.3087 x18
Li2 0.0631 0.2263 0.9166 x18
Mg1 0.0000 0.0000 0.5000 x3
Au1 0.0139 0.5791 0.2055 x18

(11)
Calculated powder XRD pattern
Compound: Mg3B2P2H18O20
Radiation: Cu Kα
Structure: DFT lattice parameters and positions (PBE)
Peak positions follow from Bragg's law for the DFT cell and can differ from measured ones.

Principal peaks in the range 2θ = 10–90°, sorted by position:
2θ/deg	d/Å	I (rel.)
14.6	6.073	48
17.5	5.080	85
17.8	4.976	94
18.2	4.886	79
27.4	3.258	54
28.9	3.091	46
29.4	3.039	71
30.0	2.977	100
30.3	2.953	64
35.3	2.540	60

a = 6.361 Å, b = 6.381 Å, c = 9.851 Å
α = 83.77°, β = 84.68°, γ = 73.04°
Space group P-1 (No. 2)
Inequivalent atoms, fractional coordinates:
Mg1 0.000 0.000 0.000 x1
Mg2 0.317 0.334 0.335 x2
B1 0.232 0.872 0.288 x2
P1 0.140 0.760 0.721 x2
H1 0.137 0.349 0.852 x2
H2 0.149 0.158 0.572 x2
H3 0.163 0.389 0.602 x2
H4 0.293 0.684 0.126 x2
H5 0.312 0.677 0.465 x2
H6 0.321 0.339 0.053 x2
H7 0.344 0.142 0.862 x2
H8 0.446 0.667 0.891 x2
H9 0.487 0.096 0.636 x2
O1 0.007 0.009 0.339 x2
O2 0.017 0.584 0.712 x2
O3 0.180 0.774 0.871 x2
O4 0.213 0.224 0.916 x2
O5 0.224 0.840 0.143 x2
O6 0.240 0.261 0.547 x2
O7 0.279 0.661 0.370 x2
O8 0.355 0.713 0.631 x2
O9 0.389 0.396 0.122 x2
O10 0.395 0.993 0.305 x2

(12)
Calculated powder XRD pattern
Compound: Mg4Ag
Radiation: Cu Kα
Structure: DFT lattice parameters and positions (PBE)
Peak positions follow from Bragg's law for the DFT cell and can differ from measured ones.

Principal peaks in the range 2θ = 10–90°, sorted by position:
2θ/deg	d/Å	I (rel.)
14.2	6.241	51
21.4	4.161	19
32.9	2.721	20
35.0	2.564	100
36.0	2.497	29
38.2	2.357	19
40.9	2.205	62
58.6	1.575	21
59.9	1.544	17
70.7	1.332	22

a = 3.1505 Å, b = 3.1505 Å, c = 37.4479 Å
α = 90.00°, β = 90.00°, γ = 120.00°
Space group R-3m (No. 166, hexagonal axes)
Inequivalent atoms, fractional coordinates:
Mg1 0.0000 0.0000 0.1059 x6
Mg2 0.0000 0.0000 0.2976 x6
Ag1 0.0000 0.0000 0.5000 x3